No. 1
PuB2Os: simulated powder X-ray diffraction pattern (Cu Kα (λ = 1.5418 Å)), based on a DFT-relaxed cell (GGA-PBE, the Materials Project).
Neutral-atom scattering factors, no anomalous dispersion.

Main lines, in order of rising 2θ (10 to 90 degrees two-theta):
2θ = 27.64°, d = 3.228 Å, I = 29, hkl 0 0 2; 2θ = 33.38°, d = 2.684 Å, I = 58, hkl 0 2 0; 2θ = 36.03°, d = 2.493 Å, I = 75, hkl 1 1 2; 2θ = 38.14°, d = 2.360 Å, I = 100, hkl 2 1 1; 2θ = 62.84°, d = 1.479 Å, I = 24, hkl 2 3 1; 2θ = 75.23°, d = 1.263 Å, I = 22, hkl 3 2 3

Atomic structure:
```
data_PuB2Os
_chemical_formula_sum 'Pu4 B8 Os4'
_cell_length_a 5.752
_cell_length_b 5.368
_cell_length_c 6.456
_cell_angle_alpha 90.00
_cell_angle_beta 90.00
_cell_angle_gamma 90.00
_symmetry_space_group_name_H-M 'P n m a'
_symmetry_Int_Tables_number 62
loop_
_symmetry_equiv_pos_as_xyz
'x,y,z'
'-x,-y,-z'
'-x+1/2,-y,z+1/2'
'x+1/2,y,-z+1/2'
'x+1/2,-y+1/2,-z+1/2'
'-x+1/2,y+1/2,z+1/2'
'-x,y+1/2,-z'
'x,-y+1/2,z'
loop_
_atom_site_label
_atom_site_type_symbol
_atom_site_fract_x
_atom_site_fract_y
_atom_site_fract_z
Pu1 Pu 0.002 0.250 0.166
B1 B 0.136 0.584 0.463
Os1 Os 0.187 0.250 0.685
```


No. 2
K3Rb3Zn4Sn3Se13: simulated powder X-ray diffraction pattern (Cu Kα (λ = 1.5418 Å)), based on a DFT-relaxed cell (GGA-PBE, the Materials Project).
Neutral-atom scattering factors, no anomalous dispersion.

Main lines, in order of rising 2θ (10 to 90 degrees two-theta):
2θ = 26.71°, d = 3.337 Å, I = 67, hkl 0 2 4; 2θ = 26.97°, d = 3.306 Å, I = 100, hkl 3 0 3; 2θ = 27.54°, d = 3.238 Å, I = 93, hkl 3 1 2; 2θ = 28.41°, d = 3.142 Å, I = 91, hkl 4 0 1; 2θ = 29.59°, d = 3.019 Å, I = 81, hkl 2 2 3; 2θ = 49.09°, d = 1.856 Å, I = 73, hkl 4 3 4

Atomic structure:
```
data_K3Rb3Zn4Sn3Se13
_chemical_formula_sum 'K9 Rb9 Zn12 Sn9 Se39'
_cell_length_a 14.8138
_cell_length_b 14.8138
_cell_length_c 15.6303
_cell_angle_alpha 90.00
_cell_angle_beta 90.00
_cell_angle_gamma 120.00
_symmetry_space_group_name_H-M 'R 3 m'
_symmetry_Int_Tables_number 160
_symmetry_space_group_name_Hall 'R 3 -2"'
loop_
_atom_site_label
_atom_site_type_symbol
_atom_site_fract_x
_atom_site_fract_y
_atom_site_fract_z
K1 K 0.0412 0.5206 0.0000
Rb1 Rb 0.1825 0.3650 0.6323
Zn1 Zn 0.0000 0.0000 0.3007
Zn2 Zn 0.0959 0.1917 0.0985
Sn1 Sn 0.1828 0.3655 0.9022
Se1 Se 0.0000 0.0000 0.1438
Se2 Se 0.0077 0.2896 0.1507
Se3 Se 0.0863 0.1726 0.9412
Se4 Se 0.1791 0.0896 0.3658
```